Entry 1:
For Cs5V2S6, a DFT-relaxed cell (GGA-PBE, Alexandria) gives the computed X-ray powder pattern in this record (Cu Ka).
Peak positions follow from Bragg's law for the DFT cell and can differ from measured ones.

Crystal structure
```
Cs5V2S6
1.0
13.5360 0.0000 0.0000
0.0000 16.6713 0.0000
0.0000 0.0000 4.0964
Cs V S
10 4 12
Direct
0.0000 0.0000 0.0000
0.0444 0.2355 0.0000
0.1567 0.4723 0.0000
0.3433 0.9723 0.0000
0.4556 0.7355 0.0000
0.5000 0.5000 0.0000
0.5444 0.2645 0.0000
0.6567 0.0277 0.0000
0.8433 0.5277 0.0000
0.9556 0.7645 0.0000
0.1992 0.6783 0.5000
0.3008 0.1783 0.5000
0.6992 0.8217 0.5000
0.8008 0.3217 0.5000
0.0535 0.6187 0.5000
0.1744 0.0913 0.5000
0.2071 0.7513 0.0000
0.2929 0.2513 0.0000
0.3256 0.5913 0.5000
0.4465 0.1187 0.5000
0.5535 0.8813 0.5000
0.6744 0.4087 0.5000
0.7071 0.7487 0.0000
0.7929 0.2487 0.0000
0.8256 0.9087 0.5000
0.9465 0.3813 0.5000
```

Largest 12 diffraction maxima, by intensity, 2θ = 10–90°:
2.922 Å, 30.6°, I 100; 2.986 Å, 29.9°, I 91; 4.355 Å, 20.4°, I 55; 4.168 Å, 21.3°, I 52; 2.682 Å, 33.4°, I 48; 4.096 Å, 21.7°, I 45; 2.890 Å, 30.9°, I 43; 3.548 Å, 25.1°, I 37; 3.504 Å, 25.4°, I 36; 2.662 Å, 33.7°, I 32; 2.048 Å, 44.2°, I 28; 1.759 Å, 52.0°, I 27


Entry 2:
For Cs3VS3, a DFT-relaxed cell (GGA-PBE, Alexandria) gives the computed X-ray powder pattern in this record (Cu Ka).
Peak positions follow from Bragg's law for the DFT cell and can differ from measured ones.

Crystal structure
```
Cs3VS3
1.0
8.3619 0.0000 0.0000
0.0000 13.8561 0.0000
-6.6780 0.0000 8.6219
Cs V S
12 4 12
Direct
0.0978 0.1454 0.4782
0.0978 0.3546 0.9782
0.1427 0.0640 0.8905
0.1427 0.4360 0.3905
0.3718 0.6981 0.5883
0.3718 0.8019 0.0883
0.6282 0.1981 0.9117
0.6282 0.3019 0.4117
0.8573 0.5640 0.6095
0.8573 0.9360 0.1095
0.9022 0.6454 0.0218
0.9022 0.8546 0.5218
0.4448 0.0462 0.3620
0.4448 0.4538 0.8620
0.5552 0.5462 0.1380
0.5552 0.9538 0.6380
0.1703 0.1449 0.2049
0.1703 0.3551 0.7049
0.3673 0.6064 0.8901
0.3673 0.8936 0.3901
0.3861 0.5389 0.2391
0.3861 0.9611 0.7391
0.6139 0.0389 0.2609
0.6139 0.4611 0.7609
0.6327 0.1064 0.6099
0.6327 0.3936 0.1099
0.8297 0.6449 0.2951
0.8297 0.8551 0.7951
```

Largest 12 diffraction maxima, by intensity, 2θ = 10–90°:
3.092 Å, 28.9°, I 100; 3.191 Å, 28.0°, I 87; 3.215 Å, 27.7°, I 72; 4.112 Å, 21.6°, I 55; 3.786 Å, 23.5°, I 30; 3.523 Å, 25.3°, I 29; 3.935 Å, 22.6°, I 28; 3.857 Å, 23.1°, I 26; 3.156 Å, 28.3°, I 25; 3.354 Å, 26.6°, I 24; 3.436 Å, 25.9°, I 20; 2.001 Å, 45.3°, I 19


Entry 3:
For Cs2VS4, a DFT-relaxed cell (GGA-PBE, Alexandria) gives the computed X-ray powder pattern in this record (Cu Ka).
Peak positions follow from Bragg's law for the DFT cell and can differ from measured ones.

Crystal structure
```
Cs2VS4
1.0
7.7820 0.0000 0.0000
0.0000 5.4800 0.0000
-1.3180 0.0000 12.6188
Cs V S
4 2 8
Direct
0.2308 0.2500 0.3986
0.2441 0.2500 0.9886
0.7559 0.7500 0.0114
0.7692 0.7500 0.6014
0.3027 0.7500 0.7407
0.6973 0.2500 0.2593
0.0848 0.7500 0.8316
0.2326 0.7500 0.5744
0.4983 0.0277 0.7922
0.4983 0.4723 0.7922
0.5017 0.5277 0.2078
0.5017 0.9723 0.2078
0.7674 0.2500 0.4256
0.9152 0.2500 0.1684
```

Largest 12 diffraction maxima, by intensity, 2θ = 10–90°:
5.026 Å, 17.6°, I 100; 2.737 Å, 32.7°, I 91; 3.549 Å, 25.1°, I 90; 3.870 Å, 23.0°, I 85; 4.138 Å, 21.5°, I 79; 4.472 Å, 19.9°, I 75; 3.757 Å, 23.7°, I 72; 2.236 Å, 40.3°, I 69; 4.659 Å, 19.0°, I 67; 2.258 Å, 39.9°, I 60; 3.463 Å, 25.7°, I 59; 3.007 Å, 29.7°, I 58


Entry 4:
For Cs2ZnWS4, a DFT-relaxed cell (GGA-PBE, Alexandria) gives the computed X-ray powder pattern in this record (Cu Ka).
Peak positions follow from Bragg's law for the DFT cell and can differ from measured ones.

Crystal structure
```
Cs2ZnWS4
1.0
0.0000 6.7690 12.2189
3.3316 0.0000 12.2189
3.3316 6.7690 0.0000
Cs Zn W S
4 2 2 8
Direct
0.0509 0.0509 0.6991
0.3009 0.3009 0.9491
0.6991 0.6991 0.0509
0.9491 0.9491 0.3009
0.1250 0.1250 0.1250
0.8750 0.8750 0.8750
0.3750 0.3750 0.3750
0.6250 0.6250 0.6250
0.0098 0.6446 0.5658
0.2798 0.5658 0.6446
0.3554 0.9902 0.7202
0.4342 0.7202 0.9902
0.5658 0.2798 0.0098
0.6446 0.0098 0.2798
0.7202 0.4342 0.3554
0.9902 0.3554 0.4342
```

Largest 12 diffraction maxima, by intensity, 2θ = 10–90°:
3.393 Å, 26.3°, I 100; 3.490 Å, 25.5°, I 79; 4.820 Å, 18.4°, I 74; 2.989 Å, 29.9°, I 46; 2.579 Å, 34.8°, I 42; 2.051 Å, 44.2°, I 36; 6.109 Å, 14.5°, I 34; 1.973 Å, 46.0°, I 29; 5.921 Å, 15.0°, I 27; 1.682 Å, 54.5°, I 26; 1.868 Å, 48.7°, I 23; 2.472 Å, 36.3°, I 17


Entry 5:
For Cs5ZrS5, a DFT-relaxed cell (GGA-PBE, Alexandria) gives the computed X-ray powder pattern in this record (Cu Ka).
Peak positions follow from Bragg's law for the DFT cell and can differ from measured ones.

Crystal structure
```
Cs5ZrS5
1.0
7.7991 -3.1909 0.0000
7.7991 3.1909 0.0000
-3.1734 0.0000 8.6125
Cs Zr S
5 1 5
Direct
0.0000 0.0000 0.0000
0.3035 0.3035 0.2042
0.3355 0.3355 0.6729
0.6645 0.6645 0.3271
0.6965 0.6965 0.7958
0.0000 0.0000 0.5000
0.1246 0.1246 0.3822
0.1246 0.1246 0.7693
0.5000 0.5000 0.5000
0.8754 0.8754 0.2307
0.8754 0.8754 0.6178
```

Largest 12 diffraction maxima, by intensity, 2θ = 10–90°:
3.876 Å, 22.9°, I 100; 3.722 Å, 23.9°, I 80; 3.191 Å, 28.0°, I 75; 3.252 Å, 27.4°, I 70; 2.278 Å, 39.6°, I 51; 3.435 Å, 25.9°, I 48; 2.338 Å, 38.5°, I 34; 1.937 Å, 46.9°, I 33; 2.000 Å, 45.3°, I 21; 1.448 Å, 64.3°, I 17; 2.439 Å, 36.8°, I 17; 1.861 Å, 48.9°, I 15


Entry 6:
For Cs4Zr3S14, a DFT-relaxed cell (GGA-PBE, Alexandria) gives the computed X-ray powder pattern in this record (Cu Ka).
Peak positions follow from Bragg's law for the DFT cell and can differ from measured ones.

Crystal structure
```
Cs4Zr3S14
1.0
11.2502 -4.3447 0.0000
11.2502 4.3447 0.0000
-5.7116 0.0000 13.2704
Cs Zr S
8 6 28
Direct
0.1148 0.4823 0.3926
0.1728 0.6972 0.8588
0.3028 0.8272 0.6412
0.4823 0.1148 0.8926
0.5177 0.8852 0.1074
0.6972 0.1728 0.3588
0.8272 0.3028 0.1412
0.8852 0.5177 0.6074
0.0851 0.5790 0.0865
0.2638 0.7362 0.2500
0.4210 0.9149 0.4135
0.5790 0.0851 0.5865
0.7362 0.2638 0.7500
0.9149 0.4210 0.9135
0.0162 0.8451 0.0889
0.0655 0.4927 0.9025
0.0715 0.7371 0.2888
0.1022 0.1821 0.3892
0.1549 0.9838 0.4111
0.1821 0.1022 0.8892
0.2629 0.9285 0.2112
0.2988 0.6187 0.3870
0.3162 0.3495 0.6648
0.3495 0.3162 0.1648
0.3813 0.7012 0.1130
0.3946 0.4347 0.1325
0.4347 0.3946 0.6325
0.4927 0.0655 0.4025
0.5073 0.9345 0.5975
0.5653 0.6054 0.3675
0.6054 0.5653 0.8675
0.6187 0.2988 0.8870
0.6505 0.6838 0.8352
0.6838 0.6505 0.3352
0.7012 0.3813 0.6130
0.7371 0.0715 0.7888
0.8179 0.8978 0.1108
0.8451 0.0162 0.5889
0.8978 0.8179 0.6108
0.9285 0.2629 0.7112
0.9345 0.5073 0.0975
0.9838 0.1549 0.9111
```

Largest 12 diffraction maxima, by intensity, 2θ = 10–90°:
4.100 Å, 21.7°, I 100; 3.218 Å, 27.7°, I 61; 4.345 Å, 20.4°, I 60; 3.318 Å, 26.9°, I 50; 2.457 Å, 36.6°, I 42; 4.534 Å, 19.6°, I 39; 3.716 Å, 23.9°, I 38; 7.376 Å, 12.0°, I 31; 3.983 Å, 22.3°, I 27; 2.050 Å, 44.2°, I 24; 2.824 Å, 31.7°, I 23; 1.731 Å, 52.9°, I 23